Theoretical powder diffractogram of RbUNiTe4 for Cu Kα (weighted mean of Kα1 and Kα2), from the GGA-PBE geometry in Alexandria.
Peak positions follow from Bragg's law for the DFT cell and can differ from measured ones.

Atomic structure:
Cell: 7.3122 6.2904 10.2988 Å, 90.00 106.27 90.00°
Space group P2_1/m (No. 11)
Symmetry-distinct sites (fractional):
Rb 0.2313 0.2500 0.0474 [2 per cell]
U 0.2686 0.2500 0.5535 [2 per cell]
Ni 0.2740 0.7500 0.3519 [2 per cell]
Te 0.0066 0.5013 0.6976 [4 per cell]
Te 0.4271 0.7500 0.5972 [2 per cell]
Te 0.4517 0.7500 0.1756 [2 per cell]

The 10 most intense peaks (10° ≤ 2θ ≤ 80°), in order of rising 2θ:
- 2θ = 24.8°, d = 3.595 Å, I = 51, hkl 1 0 2
- 2θ = 26.7°, d = 3.337 Å, I = 100, hkl 2 0 -2
- 2θ = 28.6°, d = 3.121 Å, I = 96, hkl 1 1 2
- 2θ = 30.3°, d = 2.948 Å, I = 54, hkl 2 1 -2
- 2θ = 31.2°, d = 2.870 Å, I = 97, hkl 1 2 0
- 2θ = 33.8°, d = 2.654 Å, I = 48, hkl 0 2 2
- 2θ = 34.3°, d = 2.616 Å, I = 52, hkl 1 2 -2
- 2θ = 38.1°, d = 2.359 Å, I = 44, hkl 2 1 2
- 2θ = 38.4°, d = 2.342 Å, I = 47, hkl 2 2 0
- 2θ = 41.2°, d = 2.192 Å, I = 45, hkl 3 1 0